[1]
HoSi3Pt3: simulated powder XRD pattern (Cu Kα, 1.54184 Å), based on a cell relaxed with GGA-PBE.

Atomic structure:
```
HoSi3Pt3
1.0
6.589 0.000 0.000
0.000 6.589 0.000
0.000 0.000 6.589
Ho Si Pt
2 6 6
direct
0.000 0.000 0.000
0.500 0.500 0.500
0.000 0.250 0.500
0.000 0.750 0.500
0.250 0.500 0.000
0.500 0.000 0.250
0.500 0.000 0.750
0.750 0.500 0.000
0.000 0.500 0.250
0.000 0.500 0.750
0.250 0.000 0.500
0.500 0.250 0.000
0.500 0.750 0.000
0.750 0.000 0.500
```

The 10 most intense peaks (2θ from 10° to 90°), in order of falling intensity:
- 2.690 Å, rel. 100.0
- 2.947 Å, rel. 91.4
- 1.761 Å, rel. 57.4
- 3.294 Å, rel. 42.8
- 1.647 Å, rel. 26.8
- 1.827 Å, rel. 23.9
- 1.438 Å, rel. 22.0
- 1.902 Å, rel. 20.6
- 1.224 Å, rel. 19.6
- 1.165 Å, rel. 17.6

=====

[2]
HoZnSi2Pt2: simulated powder XRD pattern (Cu Kα, 1.54184 Å), based on a cell relaxed with GGA-PBE.

Atomic structure:
```
HoZnSi2Pt2
1.0
4.209 0.000 0.000
-2.105 3.645 0.000
0.000 0.000 6.666
Ho Zn Si Pt
1 1 2 2
direct
0.000 0.000 0.000
0.000 0.000 0.500
0.333 0.667 0.718
0.667 0.333 0.282
0.333 0.667 0.307
0.667 0.333 0.693
```

The 10 most intense peaks (2θ from 10° to 90°), in order of falling intensity:
- 2.460 Å, rel. 100.0
- 3.198 Å, rel. 93.7
- 2.105 Å, rel. 71.0
- 1.599 Å, rel. 26.8
- 1.273 Å, rel. 25.0
- 1.528 Å, rel. 24.6
- 1.758 Å, rel. 17.6
- 1.349 Å, rel. 14.9
- 1.516 Å, rel. 13.6
- 2.222 Å, rel. 13.0

=====

[3]
Ho2ZrSi4Pt3: simulated powder XRD pattern (Cu Kα, 1.54184 Å), based on a cell relaxed with GGA-PBE.

Atomic structure:
```
Ho2ZrSi4Pt3
1.0
4.160 0.000 0.000
0.000 4.160 0.000
0.000 0.000 10.583
Ho Zr Si Pt
2 1 4 3
direct
0.000 0.500 0.237
0.500 0.000 0.763
0.000 0.000 0.500
0.000 0.000 0.000
0.000 0.500 0.655
0.500 0.000 0.345
0.500 0.500 0.000
0.000 0.500 0.882
0.500 0.000 0.118
0.500 0.500 0.500
```

The 10 most intense peaks (2θ from 10° to 90°), in order of falling intensity:
- 2.691 Å, rel. 100.0
- 2.571 Å, rel. 91.2
- 2.080 Å, rel. 71.7
- 2.834 Å, rel. 71.3
- 1.646 Å, rel. 46.4
- 3.270 Å, rel. 33.9
- 3.528 Å, rel. 28.5
- 1.887 Å, rel. 28.0
- 2.942 Å, rel. 27.8
- 1.471 Å, rel. 23.7

=====

[4]
Sm2Ho3Pt4: simulated powder XRD pattern (Cu Kα, 1.54184 Å), based on a cell relaxed with GGA-PBE.

Atomic structure:
```
Sm2Ho3Pt4
1.0
7.631 0.000 0.000
0.000 7.665 0.000
-2.577 0.000 7.274
Sm Ho Pt
4 6 8
direct
0.196 0.178 0.079
0.196 0.322 0.579
0.804 0.678 0.421
0.804 0.822 0.921
0.244 0.665 0.248
0.244 0.835 0.748
0.500 0.000 0.500
0.500 0.500 0.000
0.756 0.165 0.252
0.756 0.335 0.752
0.090 0.537 0.859
0.090 0.963 0.359
0.495 0.134 0.870
0.495 0.366 0.370
0.505 0.634 0.630
0.505 0.866 0.130
0.910 0.037 0.641
0.910 0.463 0.141
```

The 10 most intense peaks (2θ from 10° to 90°), in order of falling intensity:
- 2.697 Å, rel. 100.0
- 2.684 Å, rel. 97.5
- 2.439 Å, rel. 72.4
- 2.899 Å, rel. 59.0
- 2.411 Å, rel. 52.2
- 2.623 Å, rel. 27.5
- 2.398 Å, rel. 25.8
- 2.295 Å, rel. 24.9
- 2.405 Å, rel. 23.2
- 1.714 Å, rel. 15.4

=====

[5]
SmHo2Pt2: simulated powder XRD pattern (Cu Kα, 1.54184 Å), based on a cell relaxed with GGA-PBE.

Atomic structure:
```
SmHo2Pt2
1.0
1.896 -13.832 0.000
1.896 13.832 0.000
0.000 0.000 4.675
Sm Ho Pt
2 4 4
direct
0.136 0.864 0.750
0.864 0.136 0.250
0.232 0.768 0.250
0.450 0.550 0.750
0.550 0.450 0.250
0.768 0.232 0.750
0.032 0.968 0.750
0.343 0.657 0.750
0.657 0.343 0.250
0.968 0.032 0.250
```

The 10 most intense peaks (2θ from 10° to 90°), in order of falling intensity:
- 2.805 Å, rel. 100.0
- 2.361 Å, rel. 59.9
- 2.337 Å, rel. 42.6
- 2.766 Å, rel. 31.5
- 2.126 Å, rel. 27.8
- 2.388 Å, rel. 23.1
- 1.896 Å, rel. 22.9
- 1.472 Å, rel. 20.3
- 1.785 Å, rel. 17.6
- 2.928 Å, rel. 17.2

=====

[6]
SmHo2Pt2: simulated powder XRD pattern (Cu Kα, 1.54184 Å), based on a cell relaxed with GGA-PBE.

Atomic structure:
```
SmHo2Pt2
1.0
5.443 0.000 0.000
0.000 4.608 0.000
-1.573 0.000 10.340
Sm Ho Pt
2 4 4
direct
0.088 0.250 0.286
0.912 0.750 0.714
0.255 0.250 0.969
0.391 0.250 0.617
0.609 0.750 0.383
0.745 0.750 0.031
0.155 0.750 0.475
0.272 0.750 0.134
0.728 0.250 0.866
0.845 0.250 0.525
```

The 10 most intense peaks (2θ from 10° to 90°), in order of falling intensity:
- 2.760 Å, rel. 100.0
- 2.585 Å, rel. 95.5
- 2.304 Å, rel. 77.9
- 2.206 Å, rel. 70.8
- 2.344 Å, rel. 58.4
- 2.230 Å, rel. 57.9
- 3.221 Å, rel. 49.6
- 2.549 Å, rel. 45.8
- 1.709 Å, rel. 31.4
- 2.513 Å, rel. 31.3